This entry pairs a crystal structure of Nd2MoO6 with its computed PXRD pattern. Radiation: Cu Kα, 1.54184 Å. Structure: the PBE+U geometry in the Materials Project.
Peak positions follow from Bragg's law for the DFT cell and can differ from measured ones.

Atomic structure:
abc: 5.7380 5.7380 32.0100
angles: 90.00 90.00 90.00
Space group I4_1/acd (No. 142, origin choice 2)
One atom of each set of equivalent atoms:
Nd 0.0000 0.2500 0.0376
Mo 0.0000 0.2500 0.3750
O 0.1690 0.0761 0.3387
O 0.2436 0.0000 0.7500

Principal peaks in the range 2θ = 10–80°, in order of rising 2θ:
| 2θ/deg | I_rel |
| --- | --- |
| 27.62 | 1000 |
| 31.17 | 241 |
| 44.67 | 171 |
| 46.48 | 301 |
| 53.33 | 304 |
| 56.50 | 109 |

This entry pairs a crystal structure of Co7As2O12 with its computed PXRD pattern. Radiation: Cu Kα, 1.54184 Å. Structure: the PBE+U geometry in the Materials Project.
Peak positions follow from Bragg's law for the DFT cell and can differ from measured ones.

Atomic structure:
abc: 5.8824 8.4623 10.4220
angles: 113.26 106.30 90.01
Space group P-1 (No. 2)
One atom of each set of equivalent atoms:
Co 0.0000 0.0000 0.0000
Co 0.0724 0.4430 0.6452
Co 0.1615 0.1622 0.3178
Co 0.1654 0.1796 0.8290
Co 0.3378 0.3493 0.1752
Co 0.3432 0.8381 0.6824
Co 0.4258 0.7998 0.3523
Co 0.5000 0.0000 0.0000
As 0.0000 0.0000 0.5000
As 0.2493 0.6251 0.9990
As 0.5000 0.5000 0.5000
O 0.0039 0.7418 0.9980
O 0.0099 0.7866 0.5197
O 0.1453 0.9234 0.3484
O 0.1706 0.4309 0.8415
O 0.1707 0.9486 0.8419
O 0.2025 0.4272 0.3496
O 0.2970 0.0768 0.6514
O 0.3291 0.1042 0.1580
O 0.3292 0.5894 0.1586
O 0.3530 0.5726 0.6507
O 0.4915 0.2691 0.4825
O 0.4936 0.7420 0.9980

Principal peaks in the range 2θ = 10–80°, in order of rising 2θ:
| 2θ/deg | I_rel |
| --- | --- |
| 32.60 | 1000 |
| 34.77 | 874 |
| 34.97 | 474 |
| 35.29 | 860 |
| 42.77 | 863 |
| 61.78 | 686 |

This entry pairs a crystal structure of Mg2Ta2WO8 with its computed PXRD pattern. Radiation: Cu Kα, 1.54184 Å. Structure: the PBE+U geometry in the Materials Project.
Peak positions follow from Bragg's law for the DFT cell and can differ from measured ones.

Atomic structure:
abc: 5.2717 6.0066 10.1714
angles: 105.85 91.49 91.22
Space group P1 (No. 1)
One atom of each set of equivalent atoms:
Mg 0.0000 0.0000 0.0000
Mg 0.0070 0.5598 0.1049
Mg 0.4888 0.7212 0.0033
Mg 0.5089 0.2694 0.0946
Ta 0.0153 0.1689 0.3159
Ta 0.5152 0.8517 0.3204
Ta 0.5429 0.1247 0.7927
Ta 0.9852 0.3866 0.8059
W 0.0343 0.7729 0.5598
W 0.5234 0.4801 0.5637
O 0.1271 0.6861 0.9497
O 0.1755 0.4363 0.4366
O 0.1898 0.9428 0.4120
O 0.1977 0.2276 0.9316
O 0.3101 0.0571 0.1925
O 0.3438 0.3170 0.7040
O 0.3760 0.5910 0.1782
O 0.3869 0.8145 0.6714
O 0.6324 0.9858 0.9462
O 0.6740 0.6925 0.4357
O 0.6906 0.1696 0.4154
O 0.6995 0.4380 0.9500
O 0.8087 0.8522 0.1964
O 0.8707 0.0562 0.6915
O 0.8765 0.5584 0.6789
O 0.8801 0.2971 0.1761

Principal peaks in the range 2θ = 10–80°, in order of rising 2θ:
| 2θ/deg | I_rel |
| --- | --- |
| 19.88 | 462 |
| 20.33 | 435 |
| 25.66 | 430 |
| 26.63 | 713 |
| 34.05 | 1000 |
| 34.70 | 458 |

This entry pairs a crystal structure of Li4Cr3GaO8 with its computed PXRD pattern. Radiation: Cu Kα, 1.54184 Å. Structure: the PBE+U geometry in the Materials Project.
Peak positions follow from Bragg's law for the DFT cell and can differ from measured ones.

Atomic structure:
abc: 5.1389 7.8420 7.8434
angles: 81.78 83.76 70.94
Space group P-1 (No. 2)
One atom of each set of equivalent atoms:
Li 0.9999 0.0625 0.3127
Li 0.9997 0.1878 0.9373
Li 0.0000 0.3124 0.5625
Li 0.9997 0.4376 0.1874
Cr 0.5000 0.0000 0.5000
Cr 0.4998 0.2497 0.7503
Cr 0.5000 0.3748 0.3748
Cr 0.5000 0.5000 0.0000
Ga 0.5000 0.1249 0.1249
O 0.2742 0.0885 0.7177
O 0.2742 0.2135 0.3424
O 0.2743 0.3385 0.9678
O 0.2744 0.7139 0.8428
O 0.2736 0.9643 0.0923
O 0.2758 0.4633 0.5926
O 0.2757 0.5884 0.2176
O 0.2757 0.8384 0.4675

Principal peaks in the range 2θ = 10–80°, in order of rising 2θ:
| 2θ/deg | I_rel |
| --- | --- |
| 18.31 | 1000 |
| 35.51 | 422 |
| 37.13 | 182 |
| 43.14 | 787 |
| 57.03 | 163 |
| 62.66 | 429 |

This entry pairs a crystal structure of Li3Mn4O8 with its computed PXRD pattern. Radiation: Cu Kα, 1.54184 Å. Structure: the PBE+U geometry in the Materials Project.
Peak positions follow from Bragg's law for the DFT cell and can differ from measured ones.

Atomic structure:
abc: 8.3579 8.8881 10.1275
angles: 63.98 65.99 89.79
Space group P1 (No. 1)
One atom of each set of equivalent atoms:
Li 0.0000 0.0000 0.0000
Li 0.0024 0.5057 0.9984
Li 0.1266 0.3664 0.7526
Li 0.2495 0.7478 0.5007
Li 0.2521 0.2557 0.4989
Li 0.3774 0.1442 0.2482
Li 0.5019 0.0071 0.9999
Li 0.5047 0.5148 0.9972
Li 0.6277 0.8948 0.7454
Li 0.7515 0.7572 0.5004
Li 0.7545 0.2645 0.4977
Li 0.8771 0.6430 0.2497
Mn 0.0022 0.0063 0.4988
Mn 0.1261 0.3818 0.2485
Mn 0.1281 0.8821 0.2489
Mn 0.1277 0.8823 0.7483
Mn 0.2525 0.7565 0.9986
Mn 0.3774 0.1309 0.7489
Mn 0.3770 0.6301 0.2491
Mn 0.3768 0.6308 0.7493
Mn 0.5016 0.5054 0.4994
Mn 0.6241 0.8817 0.2507
Mn 0.6264 0.3800 0.7501
Mn 0.6285 0.3818 0.2488
Mn 0.7522 0.2556 0.9992
Mn 0.8769 0.1301 0.2492
Mn 0.8769 0.1308 0.7492
Mn 0.8774 0.6309 0.7490
O 0.0078 0.7915 0.4916
O 0.0278 0.7626 0.9884
O 0.1094 0.1314 0.2601
O 0.1184 0.1072 0.7495
O 0.1361 0.6597 0.7484
O 0.1450 0.6304 0.2376
O 0.2269 0.0037 0.5089
O 0.2481 0.9705 0.0066
O 0.2565 0.5423 0.9912
O 0.2770 0.5097 0.4887
O 0.3615 0.8826 0.7603
O 0.3680 0.8505 0.2500
O 0.3864 0.4070 0.2482
O 0.3926 0.3791 0.7380
O 0.4770 0.7501 0.0097
O 0.4966 0.7194 0.5074
O 0.5075 0.2916 0.4913
O 0.5274 0.2591 0.9893
O 0.6090 0.6314 0.2608
O 0.6179 0.6025 0.7500
O 0.6357 0.1550 0.7487
O 0.6448 0.1306 0.2381
O 0.7265 0.5002 0.5099
O 0.7479 0.4705 0.0063
O 0.7564 0.0409 0.9922
O 0.7779 0.0093 0.4881
O 0.8607 0.3805 0.7610
O 0.8687 0.3516 0.2494
O 0.8857 0.9060 0.2489
O 0.8936 0.8813 0.7372
O 0.9764 0.2502 0.0102
O 0.9968 0.2208 0.5063

Principal peaks in the range 2θ = 10–80°, in order of rising 2θ:
| 2θ/deg | I_rel |
| --- | --- |
| 18.15 | 1000 |
| 21.26 | 185 |
| 21.88 | 209 |
| 40.60 | 416 |
| 43.30 | 359 |
| 44.62 | 331 |

This entry pairs a crystal structure of MgAlCuW2O8 with its computed PXRD pattern. Radiation: Cu Kα, 1.54184 Å. Structure: the PBE+U geometry in the Materials Project.
Peak positions follow from Bragg's law for the DFT cell and can differ from measured ones.

Atomic structure:
abc: 5.2618 5.7556 6.0310
angles: 80.33 84.72 64.37
Space group P1 (No. 1)
One atom of each set of equivalent atoms:
Mg 0.0000 0.0000 0.0000
Al 0.8857 0.0774 0.4721
Cu 0.4820 0.0292 0.0313
W 0.2187 0.4836 0.2100
W 0.7523 0.5579 0.8245
O 0.1113 0.2659 0.4149
O 0.1274 0.2961 0.9590
O 0.1575 0.8093 0.3219
O 0.3429 0.6660 0.9139
O 0.6444 0.2592 0.2421
O 0.7516 0.8077 0.5991
O 0.7678 0.2246 0.7339
O 0.8160 0.7267 0.0743

Principal peaks in the range 2θ = 10–80°, in order of rising 2θ:
| 2θ/deg | I_rel |
| --- | --- |
| 14.90 | 769 |
| 17.26 | 676 |
| 23.74 | 1000 |
| 24.26 | 475 |
| 26.24 | 911 |
| 40.23 | 342 |